(1)
Tm3P4Pd4: simulated powder XRD pattern (Cu Kα, 1.54184 Å), based on DFT lattice parameters and positions (GGA-PBE).

Cell and atoms:
```
Tm3P4Pd4
1.0
-2.004 3.483 6.713
2.004 -3.483 6.713
2.004 3.483 -6.713
Tm P Pd
3 4 4
Direct
0.000 0.000 0.000 Tm
0.374 0.874 0.500 Tm
0.626 0.126 0.500 Tm
0.217 0.217 0.000 P
0.310 0.500 0.810 P
0.690 0.500 0.190 P
0.783 0.783 0.000 P
0.030 0.330 0.700 Pd
0.370 0.670 0.700 Pd
0.630 0.330 0.300 Pd
0.970 0.670 0.300 Pd
```

Peak list (10 most intense, 5 to 70 degrees two-theta, low angle first)
2θ (°)  I_rel
28.9  30
34.8  100
35.8  30
37.2  82
39.8  30
40.3  18
43.9  40
45.2  34
62.1  18
64.9  25

***

(2)
PPd2W: simulated powder XRD pattern (Cu Kα, 1.54184 Å), based on DFT lattice parameters and positions (GGA-PBE).

Cell and atoms:
```
PPd2W
1.0
-1.829 1.829 9.407
1.829 -1.829 9.407
1.829 1.829 -9.407
P Pd W
2 4 2
Direct
0.000 0.000 0.000 P
0.750 0.250 0.500 P
0.121 0.625 0.996 Pd
0.375 0.371 0.496 Pd
0.629 0.125 0.004 Pd
0.875 0.879 0.504 Pd
0.250 0.750 0.500 W
0.500 0.500 0.000 W
```

Peak list (10 most intense, 5 to 70 degrees two-theta, low angle first)
2θ (°)  I_rel
24.8  30
28.2  24
34.2  15
36.0  100
38.3  42
41.7  8
45.5  52
53.8  63
56.5  7
60.9  21

***

(3)
YP2Pd3: simulated powder XRD pattern (Cu Kα, 1.54184 Å), based on DFT lattice parameters and positions (GGA-PBE).

Cell and atoms:
```
YP2Pd3
1.0
8.098 -1.964 0.000
8.098 1.964 0.000
-3.002 0.000 9.430
Y P Pd
3 6 9
Direct
0.000 0.000 0.000 Y
0.149 0.149 0.699 Y
0.851 0.851 0.301 Y
0.202 0.202 0.135 P
0.366 0.366 0.549 P
0.462 0.462 0.206 P
0.538 0.538 0.794 P
0.634 0.634 0.451 P
0.798 0.798 0.865 P
0.044 0.044 0.329 Pd
0.230 0.230 0.390 Pd
0.321 0.321 0.037 Pd
0.371 0.371 0.795 Pd
0.500 0.500 0.500 Pd
0.629 0.629 0.205 Pd
0.679 0.679 0.963 Pd
0.770 0.770 0.610 Pd
0.956 0.956 0.671 Pd
```

Peak list (10 most intense, 5 to 70 degrees two-theta, low angle first)
2θ (°)  I_rel
16.9  15
31.8  41
35.7  100
35.9  33
37.4  34
40.5  30
43.5  36
45.0  16
46.2  41
65.3  21

***

(4)
ZnP2Pd7: simulated powder XRD pattern (Cu Kα, 1.54184 Å), based on DFT lattice parameters and positions (GGA-PBE).

Cell and atoms:
```
ZnP2Pd7
1.0
-1.981 1.981 9.747
1.981 -1.981 9.747
1.981 1.981 -9.747
Zn P Pd
1 2 7
Direct
0.000 0.000 0.000 Zn
0.330 0.330 0.000 P
0.670 0.670 0.000 P
0.103 0.603 0.500 Pd
0.250 0.750 0.500 Pd
0.397 0.897 0.500 Pd
0.500 0.500 0.000 Pd
0.603 0.103 0.500 Pd
0.750 0.250 0.500 Pd
0.897 0.397 0.500 Pd
```

Peak list (10 most intense, 5 to 70 degrees two-theta, low angle first)
2θ (°)  I_rel
27.5  12
31.9  31
33.3  20
36.9  19
37.0  23
42.6  100
45.8  53
49.6  8
60.2  18
66.8  17

***

(5)
PmP2: simulated powder XRD pattern (Cu Kα, 1.54184 Å), based on DFT lattice parameters and positions (GGA-PBE).

Cell and atoms:
```
PmP2
1.0
3.985 0.000 0.000
0.000 6.544 0.000
-2.721 0.000 9.727
Pm P
4 8
Direct
0.081 0.185 0.358 Pm
0.081 0.315 0.858 Pm
0.919 0.685 0.142 Pm
0.919 0.815 0.642 Pm
0.299 0.621 0.454 P
0.299 0.879 0.954 P
0.464 0.160 0.663 P
0.464 0.340 0.163 P
0.536 0.660 0.837 P
0.536 0.840 0.337 P
0.701 0.121 0.046 P
0.701 0.379 0.546 P
```

Peak list (10 most intense, 5 to 70 degrees two-theta, low angle first)
2θ (°)  I_rel
22.8  98
23.2  39
25.4  42
27.3  44
28.9  98
30.8  36
35.6  86
36.2  100
40.6  43
50.4  35

***

(6)
Pm6P5: simulated powder XRD pattern (Cu Kα, 1.54184 Å), based on DFT lattice parameters and positions (GGA-PBE).

Cell and atoms:
```
Pm6P5
1.0
3.565 -6.167 0.000
3.565 6.167 0.000
-2.379 0.000 6.723
Pm P
6 5
Direct
0.067 0.415 0.744 Pm
0.239 0.239 0.259 Pm
0.415 0.067 0.744 Pm
0.585 0.933 0.256 Pm
0.761 0.761 0.741 Pm
0.933 0.585 0.256 Pm
0.000 0.000 0.500 P
0.167 0.833 0.000 P
0.335 0.665 0.500 P
0.665 0.335 0.500 P
0.833 0.167 0.000 P
```

Peak list (10 most intense, 5 to 70 degrees two-theta, low angle first)
2θ (°)  I_rel
13.2  1
15.0  2
26.5  94
30.7  100
39.7  1
44.0  72
52.1  29
52.2  14
54.6  25
64.0  11

***

What did the second record say?
PPd2W: simulated powder XRD pattern (Cu Kα, 1.54184 Å), based on DFT lattice parameters and positions (GGA-PBE).

Cell and atoms:
```
PPd2W
1.0
-1.829 1.829 9.407
1.829 -1.829 9.407
1.829 1.829 -9.407
P Pd W
2 4 2
Direct
0.000 0.000 0.000 P
0.750 0.250 0.500 P
0.121 0.625 0.996 Pd
0.375 0.371 0.496 Pd
0.629 0.125 0.004 Pd
0.875 0.879 0.504 Pd
0.250 0.750 0.500 W
0.500 0.500 0.000 W
```

Peak list (10 most intense, 5 to 70 degrees two-theta, low angle first)
2θ (°)  I_rel
24.8  30
28.2  24
34.2  15
36.0  100
38.3  42
41.7  8
45.5  52
53.8  63
56.5  7
60.9  21